[1]
Theoretical X-ray diffraction stick pattern of Na2SrOsO4 for Cu Ka, from a cell relaxed with GGA-PBE.
Lines closer than 0.1° are merged.

Atomic structure:
```
data_Na2SrOsO4
_chemical_formula_sum 'Na4 Sr2 Os2 O8'
_space_group_name_H-M_alt 'I -4'
_space_group_IT_number 82
_space_group_name_Hall 'I -4'
_cell_length_a 5.901
_cell_length_b 5.901
_cell_length_c 6.813
_cell_angle_alpha 90.00
_cell_angle_beta 90.00
_cell_angle_gamma 90.00
loop_
_atom_site_label
_atom_site_type_symbol
_atom_site_fract_x
_atom_site_fract_y
_atom_site_fract_z
Na1 Na 0.000 0.000 0.000
Na2 Na 0.000 0.500 0.250
Sr1 Sr 0.000 0.000 0.500
Os1 Os 0.000 0.500 0.750
O1 O 0.206 0.748 0.759
```

Largest 12 diffraction maxima, in order of rising 2θ, 2θ from 10° to 90°:
| 2theta | I/Imax | index |
| --- | --- | --- |
| 19.9 | 100.0 | 1 0 1 |
| 30.3 | 36.3 | 2 0 0 |
| 34.0 | 83.5 | 1 1 2 |
| 36.5 | 36.1 | 1 2 1 |
| 42.7 | 14.3 | 1 0 3 |
| 43.4 | 28.5 | 2 2 0 |
| 53.2 | 12.7 | 1 2 3 |
| 56.2 | 38.9 | 1 3 2 |
| 57.9 | 13.3 | 2 3 1 |
| 63.0 | 18.6 | 4 0 0 |
| 71.5 | 19.5 | 2 2 4 |
| 89.4 | 16.2 | 5 1 2 |

[2]
Theoretical X-ray diffraction stick pattern of KSnHg2Cl8 for Cu Ka, from a cell relaxed with GGA-PBE.
Lines closer than 0.1° are merged.

Atomic structure:
```
data_KSnHg2Cl8
_chemical_formula_sum 'K1 Sn1 Hg2 Cl8'
_space_group_name_H-M_alt 'P -1'
_space_group_IT_number 2
_space_group_name_Hall '-P 1'
_cell_length_a 6.696
_cell_length_b 6.767
_cell_length_c 8.817
_cell_angle_alpha 83.01
_cell_angle_beta 76.56
_cell_angle_gamma 87.97
loop_
_atom_site_label
_atom_site_type_symbol
_atom_site_fract_x
_atom_site_fract_y
_atom_site_fract_z
K1 K 0.000 0.000 0.000
Sn1 Sn 0.000 0.000 0.500
Hg1 Hg 0.474 0.482 0.240
Cl1 Cl 0.200 0.816 0.690
Cl2 Cl 0.248 0.326 0.476
Cl3 Cl 0.249 0.858 0.264
Cl4 Cl 0.270 0.387 0.984
```

Largest 12 diffraction maxima, in order of rising 2θ, 2θ from 10° to 90°:
| 2theta | I/Imax | index |
| --- | --- | --- |
| 13.2 | 39.2 | 0 1 0 |
| 13.6 | 27.1 | 1 0 0 |
| 18.9 | 100.0 | 1 1 0 |
| 19.1 | 96.8 | 1 -1 0 |
| 22.2 | 56.9 | 1 0 2 |
| 23.4 | 38.8 | 0 1 2 |
| 24.5 | 32.5 | 1 1 2 |
| 26.5 | 27.9 | 0 2 0 |
| 27.5 | 35.3 | 1 0 -2 |
| 32.2 | 26.2 | 2 1 2 |
| 34.4 | 38.9 | 2 -1 2 |
| 36.9 | 43.1 | 1 -2 2 |

[3]
Theoretical X-ray diffraction stick pattern of Ac3VN6 for Cu Ka, from a cell relaxed with GGA-PBE.
Lines closer than 0.1° are merged.

Atomic structure:
```
data_Ac3VN6
_chemical_formula_sum 'Ac12 V4 N24'
_space_group_name_H-M_alt 'C m c 21'
_space_group_IT_number 36
_space_group_name_Hall 'C 2c -2'
_cell_length_a 10.047
_cell_length_b 12.666
_cell_length_c 5.825
_cell_angle_alpha 90.00
_cell_angle_beta 90.00
_cell_angle_gamma 90.00
loop_
_atom_site_label
_atom_site_type_symbol
_atom_site_fract_x
_atom_site_fract_y
_atom_site_fract_z
Ac1 Ac 0.000 0.111 0.000
Ac2 Ac 0.191 0.389 0.031
V1 V 0.000 0.304 0.569
N1 N 0.000 0.290 0.251
N2 N 0.000 0.438 0.672
N3 N 0.140 0.243 0.713
N4 N 0.158 0.009 0.274
```

Largest 12 diffraction maxima, in order of rising 2θ, 2θ from 10° to 90°:
| 2theta | I/Imax | index |
| --- | --- | --- |
| 19.0 | 26.2 | 1 1 1 |
| 27.3 | 100.0 | 2 2 1 |
| 27.6 | 61.5 | 3 1 0 |
| 28.2 | 21.2 | 0 4 0 |
| 30.7 | 22.5 | 0 0 2 |
| 41.7 | 28.1 | 3 1 2 |
| 42.2 | 21.0 | 0 4 2 |
| 44.9 | 18.0 | 3 5 0 |
| 49.4 | 11.6 | 2 6 1 |
| 52.6 | 14.6 | 2 2 3 |
| 52.9 | 16.7 | 5 3 1 |
| 55.3 | 14.9 | 3 5 2 |

[4]
Theoretical X-ray diffraction stick pattern of Pu2PaIn for Cu Ka, from a cell relaxed with GGA-PBE.
Lines closer than 0.1° are merged.

Atomic structure:
```
data_Pu2PaIn
_chemical_formula_sum 'Pu2 Pa1 In1'
_space_group_name_H-M_alt 'P 4/m m m'
_space_group_IT_number 123
_space_group_name_Hall '-P 4 2'
_cell_length_a 4.628
_cell_length_b 4.628
_cell_length_c 4.729
_cell_angle_alpha 90.00
_cell_angle_beta 90.00
_cell_angle_gamma 90.00
loop_
_atom_site_label
_atom_site_type_symbol
_atom_site_fract_x
_atom_site_fract_y
_atom_site_fract_z
Pu1 Pu 0.000 0.500 0.000
Pa1 Pa 0.000 0.000 0.500
In1 In 0.500 0.500 0.500
```

Largest 12 diffraction maxima, in order of rising 2θ, 2θ from 10° to 90°:
| 2theta | I/Imax | index |
| --- | --- | --- |
| 18.8 | 2.3 | 0 0 1 |
| 19.2 | 3.3 | 1 0 0 |
| 27.0 | 3.0 | 1 0 1 |
| 33.3 | 100.0 | 1 1 1 |
| 38.1 | 17.5 | 0 0 2 |
| 38.9 | 33.0 | 2 0 0 |
| 55.6 | 23.9 | 2 0 2 |
| 56.2 | 11.5 | 2 2 0 |
| 65.8 | 14.5 | 1 1 3 |
| 66.9 | 27.6 | 3 1 1 |
| 69.9 | 12.1 | 2 2 2 |
| 83.6 | 3.8 | 4 0 0 |

[5]
Theoretical X-ray diffraction stick pattern of CuPt for Cu Ka, from a cell relaxed with GGA-PBE.
Lines closer than 0.1° are merged.

Atomic structure:
```
data_CuPt
_chemical_formula_sum 'Cu24 Pt24'
_space_group_name_H-M_alt 'F 2 2 2'
_space_group_IT_number 22
_space_group_name_Hall 'F 2 2'
_cell_length_a 5.422
_cell_length_b 7.631
_cell_length_c 16.266
_cell_angle_alpha 90.00
_cell_angle_beta 90.00
_cell_angle_gamma 90.00
loop_
_atom_site_label
_atom_site_type_symbol
_atom_site_fract_x
_atom_site_fract_y
_atom_site_fract_z
Cu1 Cu 0.000 0.000 0.000
Cu2 Cu 0.000 0.000 0.164
Cu3 Cu 0.000 0.000 0.500
Cu4 Cu 0.250 0.250 0.582
Pt1 Pt 0.000 0.000 0.338
Pt2 Pt 0.250 0.250 0.078
Pt3 Pt 0.250 0.250 0.250
Pt4 Pt 0.250 0.250 0.750
```

Largest 12 diffraction maxima, in order of rising 2θ, 2θ from 10° to 90°:
| 2theta | I/Imax | index |
| --- | --- | --- |
| 10.9 | 8.8 | 0 0 2 |
| 20.8 | 6.6 | 1 1 1 |
| 26.0 | 15.6 | 1 1 3 |
| 32.2 | 4.7 | 0 2 4 |
| 40.8 | 100.0 | 2 2 0 |
| 47.4 | 32.1 | 2 0 6 |
| 47.7 | 16.2 | 0 4 0 |
| 69.3 | 10.0 | 4 0 0 |
| 69.5 | 20.2 | 2 4 6 |
| 83.7 | 23.8 | 4 2 6 |
| 84.1 | 12.3 | 2 6 0 |
| 88.5 | 10.7 | 4 4 0 |

[6]
Theoretical X-ray diffraction stick pattern of Li2ThOsO8 for Cu Ka, from a cell relaxed with GGA-PBE.
Lines closer than 0.1° are merged.

Atomic structure:
```
data_Li2ThOsO8
_chemical_formula_sum 'Li2 Th1 Os1 O8'
_space_group_name_H-M_alt 'P 1 2/m 1'
_space_group_IT_number 10
_space_group_name_Hall '-P 2y'
_cell_length_a 4.646
_cell_length_b 6.643
_cell_length_c 4.651
_cell_angle_alpha 90.00
_cell_angle_beta 94.94
_cell_angle_gamma 90.00
loop_
_atom_site_label
_atom_site_type_symbol
_atom_site_fract_x
_atom_site_fract_y
_atom_site_fract_z
Li1 Li 0.000 0.212 0.000
Th1 Th 0.500 0.500 0.500
Os1 Os 0.500 0.000 0.500
O1 O 0.119 0.500 0.117
O2 O 0.215 0.000 0.213
O3 O 0.313 0.214 0.686
```

Largest 12 diffraction maxima, in order of rising 2θ, 2θ from 10° to 90°:
| 2theta | I/Imax | index |
| --- | --- | --- |
| 19.2 | 100.0 | 1 0 0 |
| 26.0 | 30.9 | 1 0 -1 |
| 26.8 | 24.2 | 0 2 0 |
| 28.4 | 27.1 | 1 0 1 |
| 33.2 | 44.6 | 1 2 0 |
| 37.7 | 31.1 | 1 2 -1 |
| 38.9 | 13.6 | 0 0 2 |
| 45.3 | 15.5 | 1 0 2 |
| 47.9 | 21.3 | 2 2 0 |
| 50.6 | 20.5 | 2 2 -1 |
| 53.4 | 17.1 | 2 2 1 |
| 66.8 | 11.2 | 0 2 3 |